Entry 1:
Calculated powder diffraction line list of Er3Sb5O12 for CuKα, from a DFT-relaxed cell (PBE, the Materials Project).

Structure:
a b c (Å): 10.8514 10.8514 10.8514
angles (deg): 90.00 90.00 90.00
Space group I-43m (No. 217)
Unique sites:
Er (0.0000, 0.2500, 0.5000) (multiplicity 12)
Sb (0.0000, 0.0000, 0.2838) (multiplicity 12)
Sb (0.2416, 0.2416, 0.2416) (multiplicity 8)
O (0.1010, 0.1010, 0.3985) (multiplicity 24)
O (0.1394, 0.1394, 0.6582) (multiplicity 24)

The 10 most intense peaks (10 to 90 degrees two-theta), low angle first:
2θ/deg  d/Å  I_rel  index
11.5  7.673  18  1 1 0
28.5  3.133  100  2 2 2
33.0  2.713  35  4 0 0
47.4  1.918  42  4 4 0
56.2  1.636  38  6 2 2
59.0  1.566  9  4 4 4
69.3  1.356  5  8 0 0
76.5  1.245  12  6 6 2
78.9  1.213  11  8 4 0
88.2  1.108  9  8 4 4

***

Entry 2:
Calculated powder diffraction line list of Er2SbO2 for CuKα, from a DFT-relaxed cell (PBE, the Materials Project).

Structure:
a b c (Å): 3.8371 13.2769 3.8205
angles (deg): 90.00 90.00 90.00
Space group Imm2 (No. 44)
Unique sites:
Er (0.0000, 0.1670, 0.0000) (multiplicity 4)
Sb (0.0000, 0.5000, 0.9538) (multiplicity 2)
O (0.0000, 0.2501, 0.4981) (multiplicity 4)

The 10 most intense peaks (10 to 90 degrees two-theta), low angle first:
2θ/deg  d/Å  I_rel  index
13.3  6.638  6  0 2 0
30.9  2.896  100  1 3 0
33.1  2.707  35  1 0 1
40.8  2.213  10  0 6 0
47.4  1.919  9  2 0 0
47.6  1.910  8  0 0 2
53.5  1.713  24  1 6 1
57.7  1.599  17  2 3 1
57.8  1.595  16  1 3 2
68.1  1.377  10  1 9 0

***

Entry 3:
Calculated powder diffraction line list of ErSbO4 for CuKα, from a DFT-relaxed cell (PBE, the Materials Project).

Structure:
a b c (Å): 5.3612 7.5163 7.6340
angles (deg): 81.33 88.16 89.58
Space group P-1 (No. 2)
Unique sites:
Er (0.2142, 0.3885, 0.3420) (multiplicity 2)
Er (0.2617, 0.8825, 0.3632) (multiplicity 2)
Sb (0.2393, 0.3048, 0.8369) (multiplicity 2)
Sb (0.2726, 0.8075, 0.8356) (multiplicity 2)
O (0.0017, 0.1171, 0.3264) (multiplicity 2)
O (0.0429, 0.3263, 0.6125) (multiplicity 2)
O (0.0895, 0.8123, 0.0678) (multiplicity 2)
O (0.1227, 0.5605, 0.8331) (multiplicity 2)
O (0.3930, 0.0600, 0.8228) (multiplicity 2)
O (0.3982, 0.3018, 0.0712) (multiplicity 2)
O (0.4609, 0.6206, 0.3061) (multiplicity 2)
O (0.4801, 0.8148, 0.6089) (multiplicity 2)

The 10 most intense peaks (10 to 90 degrees two-theta), low angle first:
2θ/deg  d/Å  I_rel  index
23.6  3.772  18  0 0 2
28.5  3.131  63  1 0 2
29.2  3.053  100  1 2 0
29.4  3.040  60  1 0 -2
30.4  2.937  19  -1 2 1
31.1  2.872  20  0 2 2
33.4  2.679  34  2 0 0
36.4  2.468  20  0 2 -2
48.7  1.870  15  0 4 1
50.8  1.798  26  2 2 -2

***

Entry 4:
Calculated powder diffraction line list of Er2Sc2O5 for CuKα, from a DFT-relaxed cell (PBE, the Materials Project).

Structure:
a b c (Å): 4.0467 4.0467 7.3688
angles (deg): 90.00 90.00 90.00
Space group P4/mmm (No. 123)
Unique sites:
Er (0.0000, 0.0000, 0.0000) (multiplicity 1)
Er (0.0000, 0.0000, 0.5000) (multiplicity 1)
Sc (0.5000, 0.5000, 0.2282) (multiplicity 2)
O (0.0000, 0.5000, 0.2311) (multiplicity 4)
O (0.5000, 0.5000, 0.5000) (multiplicity 1)

The 10 most intense peaks (10 to 90 degrees two-theta), low angle first:
2θ/deg  d/Å  I_rel  index
22.0  4.047  41  1 0 0
24.2  3.684  12  0 0 2
31.3  2.861  49  1 1 0
32.9  2.724  100  1 0 2
39.9  2.260  39  1 1 2
44.8  2.023  32  2 0 0
49.5  1.842  11  0 0 4
56.7  1.624  42  2 1 2
59.7  1.549  15  1 1 4
68.9  1.362  15  2 0 4